Record 1
Diffraction record for V2ZnPt5Rh. The X-ray diffraction stick pattern is computed, not measured: it uses a crystal structure in Alexandria, relaxed with GGA-PBE and Cu Kα (λ = 1.5418 Å).
Lines closer than 0.1° are merged.

Top 10 peaks for 2θ from 15° to 90°, sorted by position:
Position (°2θ)	I (rel.)
24.39	13
28.58	16
34.77	68
37.23	25
41.68	100
49.99	13
52.38	19
58.10	13
67.06	22
80.44	12

Atomic structure:
```
data_V2ZnPt5Rh
_chemical_formula_sum 'V8 Zn4 Pt20 Rh4'
_space_group_name_H-M_alt 'I 4/m c m'
_space_group_IT_number 140
_space_group_name_Hall '-I 4 2c'
_cell_length_a 7.298
_cell_length_b 7.298
_cell_length_c 10.773
_cell_angle_alpha 90.00
_cell_angle_beta 90.00
_cell_angle_gamma 90.00
loop_
_atom_site_label
_atom_site_fract_x
_atom_site_fract_y
_atom_site_fract_z
_atom_site_occupancy
V1 0.100 0.400 0.000 1
Zn1 0.000 0.000 0.250 1
Pt1 0.000 0.000 0.000 1
Pt2 0.211 0.289 0.371 1
Rh1 0.000 0.500 0.250 1
```

***

Record 2
Diffraction record for RbZrTe2Pd. The X-ray diffraction stick pattern is computed, not measured: it uses a crystal structure in Alexandria, relaxed with GGA-PBE and Cu Kα (λ = 1.5418 Å).
Lines closer than 0.1° are merged.

Top 10 peaks for 2θ from 15° to 90°, sorted by position:
Position (°2θ)	I (rel.)
26.21	100
27.61	35
33.25	35
33.82	23
34.49	23
38.27	33
38.87	27
40.84	27
45.37	16
47.98	19

Atomic structure:
```
data_RbZrTe2Pd
_chemical_formula_sum 'Rb2 Zr2 Te4 Pd2'
_space_group_name_H-M_alt 'P 1 2/c 1'
_space_group_IT_number 13
_cell_length_a 9.405
_cell_length_b 5.442
_cell_length_c 6.462
_cell_angle_alpha 90.00
_cell_angle_beta 110.00
_cell_angle_gamma 90.00
loop_
_space_group_symop_operation_xyz
'x,y,z'
'-x,-y,-z'
'-x,y,-z+1/2'
'x,-y,z+1/2'
loop_
_atom_site_label
_atom_site_fract_x
_atom_site_fract_y
_atom_site_fract_z
_atom_site_occupancy
Rb1 0.000 0.227 0.250 1
Zr1 0.500 0.499 0.750 1
Te1 0.262 0.283 0.882 1
Pd1 0.500 0.000 0.000 1
```

***

Record 3
Diffraction record for K2RuO4. The X-ray diffraction stick pattern is computed, not measured: it uses a crystal structure in Alexandria, relaxed with GGA-PBE and Cu Kα (λ = 1.5418 Å).
Lines closer than 0.1° are merged.

Top 10 peaks for 2θ from 15° to 90°, sorted by position:
Position (°2θ)	I (rel.)
17.07	100
27.80	21
28.03	32
28.32	32
32.55	11
33.05	10
49.13	11
49.67	11
50.10	14
52.90	9

Atomic structure:
```
data_K2RuO4
_chemical_formula_sum 'K8 Ru4 O16'
_space_group_name_H-M_alt 'F m m 2'
_space_group_IT_number 42
_space_group_name_Hall 'F 2 -2'
_cell_length_a 8.987
_cell_length_b 9.173
_cell_length_c 8.844
_cell_angle_alpha 90.00
_cell_angle_beta 90.00
_cell_angle_gamma 90.00
loop_
_atom_site_label
_atom_site_fract_x
_atom_site_fract_y
_atom_site_fract_z
_atom_site_occupancy
K1 0.250 0.250 0.000 1
Ru1 0.000 0.000 0.252 1
O1 0.000 0.162 0.138 1
O2 0.165 0.000 0.368 1
```

***

Question: Which formula does entry 1 have?
Answer: V2ZnPt5Rh

***

Please write out number 1 again, unchanged.
Diffraction record for V2ZnPt5Rh. The X-ray diffraction stick pattern is computed, not measured: it uses a crystal structure in Alexandria, relaxed with GGA-PBE and Cu Kα (λ = 1.5418 Å).
Lines closer than 0.1° are merged.

Top 10 peaks for 2θ from 15° to 90°, sorted by position:
Position (°2θ)	I (rel.)
24.39	13
28.58	16
34.77	68
37.23	25
41.68	100
49.99	13
52.38	19
58.10	13
67.06	22
80.44	12

Atomic structure:
```
data_V2ZnPt5Rh
_chemical_formula_sum 'V8 Zn4 Pt20 Rh4'
_space_group_name_H-M_alt 'I 4/m c m'
_space_group_IT_number 140
_space_group_name_Hall '-I 4 2c'
_cell_length_a 7.298
_cell_length_b 7.298
_cell_length_c 10.773
_cell_angle_alpha 90.00
_cell_angle_beta 90.00
_cell_angle_gamma 90.00
loop_
_atom_site_label
_atom_site_fract_x
_atom_site_fract_y
_atom_site_fract_z
_atom_site_occupancy
V1 0.100 0.400 0.000 1
Zn1 0.000 0.000 0.250 1
Pt1 0.000 0.000 0.000 1
Pt2 0.211 0.289 0.371 1
Rh1 0.000 0.500 0.250 1
```